1.
Structure and calculated PXRD pattern of Rb2NaMoCl6 (a DFT-relaxed cell (PBE, the Materials Project); Cu Kα (weighted mean of Kα1 and Kα2)).

Atomic structure:
```
Rb2NaMoCl6
1.0
0.000 5.230 5.230
5.230 0.000 5.230
5.230 5.230 0.000
Rb Na Mo Cl
2 1 1 6
direct
0.250 0.250 0.250
0.750 0.750 0.750
0.000 0.000 0.000
0.500 0.500 0.500
0.264 0.264 0.736
0.264 0.736 0.264
0.264 0.736 0.736
0.736 0.264 0.264
0.736 0.264 0.736
0.736 0.736 0.264
```

Largest 10 diffraction maxima, low angle first, 10 to 80 degrees two-theta:
14.67°, rel. 38
24.07°, rel. 99
29.59°, rel. 55
34.29°, rel. 100
42.33°, rel. 43
49.28°, rel. 65
55.57°, rel. 22
58.54°, rel. 18
61.42°, rel. 21
66.95°, rel. 24



2.
Structure and calculated PXRD pattern of U2Co3Si (a DFT-relaxed cell (PBE, the Materials Project); Cu Kα (weighted mean of Kα1 and Kα2)).

Atomic structure:
```
U2Co3Si
1.0
5.129 0.000 0.000
-2.565 4.442 0.000
0.000 0.000 7.508
U Co Si
4 6 2
direct
0.333 0.667 0.071
0.333 0.667 0.429
0.667 0.333 0.571
0.667 0.333 0.929
0.167 0.334 0.750
0.167 0.833 0.750
0.334 0.167 0.250
0.666 0.833 0.750
0.833 0.167 0.250
0.833 0.666 0.250
0.000 0.000 0.000
0.000 0.000 0.500
```

Largest 10 diffraction maxima, low angle first, 10 to 80 degrees two-theta:
19.99°, rel. 44
23.27°, rel. 29
31.19°, rel. 23
34.99°, rel. 73
40.62°, rel. 24
41.41°, rel. 100
42.44°, rel. 53
42.70°, rel. 68
67.14°, rel. 49
73.91°, rel. 21



3.
Structure and calculated PXRD pattern of Cd2OsC6N6 (a DFT-relaxed cell (PBE, the Materials Project); Cu Kα (weighted mean of Kα1 and Kα2)).

Atomic structure:
```
Cd2OsC6N6
1.0
6.454 0.000 0.000
-3.227 5.589 0.000
0.000 0.000 6.636
Cd Os C N
2 1 6 6
direct
0.333 0.667 0.000
0.667 0.333 0.000
0.000 0.000 0.500
0.000 0.248 0.684
0.000 0.752 0.316
0.248 0.000 0.684
0.248 0.248 0.316
0.752 0.000 0.316
0.752 0.752 0.684
0.000 0.385 0.803
0.000 0.615 0.197
0.385 0.000 0.803
0.385 0.385 0.197
0.615 0.000 0.197
0.615 0.615 0.803
```

Largest 10 diffraction maxima, low angle first, 10 to 80 degrees two-theta:
20.78°, rel. 100
27.64°, rel. 31
34.83°, rel. 21
38.93°, rel. 42
44.02°, rel. 10
45.03°, rel. 23
48.88°, rel. 12
52.78°, rel. 10
60.61°, rel. 11
61.42°, rel. 10